Simulated X-ray diffraction stick pattern of C for Cu Kα (weighted mean of Kα1 and Kα2), from a cell relaxed with PBE.
No peak broadening, texture or thermal motion is included.

The 10 most intense peaks (10 to 80 degrees two-theta), in order of falling intensity:
- 2θ 42.8, 2.113 Å, rel. 1000
- 2θ 44.6, 2.032 Å, rel. 974
- 2θ 43.7, 2.070 Å, rel. 794
- 2θ 75.3, 1.262 Å, rel. 598
- 2θ 76.9, 1.240 Å, rel. 313
- 2θ 71.5, 1.320 Å, rel. 186
- 2θ 47.0, 1.933 Å, rel. 153
- 2θ 41.3, 2.185 Å, rel. 93
- 2θ 41.7, 2.166 Å, rel. 84
- 2θ 53.5, 1.713 Å, rel. 24

Crystal structure
```
C
1.0
2.523 0.000 0.000
-1.262 2.185 0.000
0.000 0.000 16.560
C
16
direct
0.000 0.000 0.047
0.000 0.000 0.453
0.000 0.000 0.547
0.000 0.000 0.953
0.333 0.667 0.078
0.333 0.667 0.171
0.333 0.667 0.329
0.333 0.667 0.422
0.333 0.667 0.703
0.333 0.667 0.797
0.667 0.333 0.203
0.667 0.333 0.297
0.667 0.333 0.578
0.667 0.333 0.671
0.667 0.333 0.829
0.667 0.333 0.922
```

***

Simulated X-ray diffraction stick pattern of C for Cu Kα (weighted mean of Kα1 and Kα2), from a cell relaxed with PBE.
No peak broadening, texture or thermal motion is included.

The 10 most intense peaks (10 to 80 degrees two-theta), in order of falling intensity:
- 2θ 23.3, 3.818 Å, rel. 1000
- 2θ 28.0, 3.181 Å, rel. 233
- 2θ 13.9, 6.363 Å, rel. 166
- 2θ 43.8, 2.069 Å, rel. 75
- 2θ 44.2, 2.049 Å, rel. 70
- 2θ 47.6, 1.909 Å, rel. 50
- 2θ 77.3, 1.235 Å, rel. 45
- 2θ 52.8, 1.735 Å, rel. 43
- 2θ 42.3, 2.137 Å, rel. 42
- 2θ 48.0, 1.895 Å, rel. 22

Crystal structure
```
C
1.0
1.235 0.713 19.088
-1.235 0.713 19.088
0.000 -1.426 19.088
C
8
direct
0.032 0.032 0.032
0.095 0.095 0.095
0.239 0.239 0.239
0.365 0.365 0.365
0.635 0.635 0.635
0.761 0.761 0.761
0.905 0.905 0.905
0.968 0.968 0.968
```

***

Simulated X-ray diffraction stick pattern of C for Cu Kα (weighted mean of Kα1 and Kα2), from a cell relaxed with PBE.
No peak broadening, texture or thermal motion is included.

The 10 most intense peaks (10 to 80 degrees two-theta), in order of falling intensity:
- 2θ 23.9, 3.729 Å, rel. 1000
- 2θ 48.8, 1.865 Å, rel. 77
- 2θ 42.3, 2.139 Å, rel. 69
- 2θ 48.3, 1.884 Å, rel. 41
- 2θ 49.9, 1.828 Å, rel. 36
- 2θ 42.5, 2.127 Å, rel. 33
- 2θ 77.6, 1.230 Å, rel. 28
- 2θ 47.7, 1.905 Å, rel. 21
- 2θ 50.9, 1.794 Å, rel. 16
- 2θ 76.7, 1.243 Å, rel. 14

Crystal structure
```
C
1.0
2.132 -1.237 0.000
2.132 1.237 0.000
-0.260 0.000 3.729
C
2
direct
0.166 0.166 0.000
0.834 0.834 0.000
```

***

Simulated X-ray diffraction stick pattern of C for Cu Kα (weighted mean of Kα1 and Kα2), from a cell relaxed with PBE.
No peak broadening, texture or thermal motion is included.

The 10 most intense peaks (10 to 80 degrees two-theta), in order of falling intensity:
- 2θ 26.0, 3.425 Å, rel. 1000
- 2θ 38.6, 2.333 Å, rel. 670
- 2θ 16.9, 5.232 Å, rel. 330
- 2θ 31.2, 2.865 Å, rel. 277
- 2θ 43.5, 2.079 Å, rel. 197
- 2θ 56.6, 1.626 Å, rel. 184
- 2θ 34.4, 2.606 Å, rel. 142
- 2θ 70.6, 1.335 Å, rel. 100
- 2θ 65.1, 1.432 Å, rel. 83
- 2θ 75.8, 1.255 Å, rel. 75

Crystal structure
```
C
1.0
2.606 0.000 0.000
0.000 3.425 0.000
0.000 0.000 5.232
C
6
direct
0.000 0.000 0.128
0.000 0.000 0.872
0.500 0.000 0.283
0.500 0.000 0.717
0.500 0.306 0.500
0.500 0.694 0.500
```